This entry pairs a crystal structure of Na2Ta3Se6 with its theoretical X-ray diffraction stick pattern. Radiation: CuKα. Structure: a PBE-relaxed structure.
Intensities are scaled so that the largest is 100.

Principal peaks in the range 10° ≤ 2θ ≤ 90°, low angle first:
Position (°2θ), I/Imax
11.70, 100.0
32.34, 47.8
33.77, 26.0
39.58, 13.4
43.45, 18.9
51.20, 14.4

Structure:
```
data_Na2Ta3Se6
_chemical_formula_sum 'Na4 Ta6 Se12'
_cell_length_a 6.140
_cell_length_b 10.945
_cell_length_c 7.762
_cell_angle_alpha 90.00
_cell_angle_beta 103.00
_cell_angle_gamma 90.00
_space_group_name_H-M_alt 'C 1 2/m 1'
_space_group_IT_number 12
_space_group_name_Hall '-C 2y'
loop_
_atom_site_label
_atom_site_fract_x
_atom_site_fract_y
_atom_site_fract_z
_atom_site_occupancy
Na1 0.000 0.176 0.000 1
Ta1 0.000 0.000 0.500 1
Ta2 0.000 0.368 0.500 1
Se1 0.223 0.173 0.702 1
Se2 0.245 0.500 0.740 1
```